Diffraction record for Re2Mo2W5. The X-ray diffraction stick pattern is theoretical, not measured: it uses a GGA-PBE-relaxed structure and CuKα.
Kinematic intensities with the Lorentz-polarization factor, no thermal factor.

Most intense lines, 2θ from 15° to 90°, sorted by position:
| 2theta | I/Imax |
| --- | --- |
| 35.51 | 44 |
| 37.70 | 100 |
| 38.53 | 36 |
| 39.08 | 94 |
| 39.17 | 90 |
| 41.61 | 34 |
| 44.57 | 24 |
| 46.60 | 54 |
| 48.17 | 19 |
| 52.59 | 28 |
| 84.37 | 26 |
| 85.26 | 39 |

Cell and atoms:
Unit cell a=7.399 b=7.399 c=9.703 alpha=126.29 beta=126.29 gamma=20.39
Sites, in units of the cell vectors:
Re1 0.161 0.161 0.340
Re2 0.839 0.839 0.660
Mo1 0.449 0.449 0.226
Mo2 0.551 0.551 0.774
W1 0.211 0.211 0.096
W2 0.380 0.380 0.432
W3 0.500 0.500 0.000
W4 0.620 0.620 0.568
W5 0.789 0.789 0.904

Diffraction record for Ac6Sn5Pd. The X-ray diffraction stick pattern is theoretical, not measured: it uses a GGA-PBE-relaxed structure and CuKα.
Kinematic intensities with the Lorentz-polarization factor, no thermal factor.

Most intense lines, 2θ from 15° to 90°, sorted by position:
| 2theta | I/Imax |
| --- | --- |
| 25.57 | 26 |
| 26.32 | 80 |
| 26.83 | 19 |
| 27.65 | 100 |
| 30.12 | 16 |
| 33.76 | 24 |
| 38.12 | 43 |
| 38.96 | 41 |
| 42.54 | 13 |
| 44.05 | 16 |
| 52.54 | 12 |
| 62.51 | 16 |

Cell and atoms:
Unit cell a=7.420 b=7.420 c=8.753 alpha=97.83 beta=97.83 gamma=110.43
Sites, in units of the cell vectors:
Ac1 0.052 0.379 0.719
Ac2 0.213 0.213 0.206
Ac3 0.379 0.052 0.719
Ac4 0.621 0.948 0.281
Ac5 0.787 0.787 0.794
Ac6 0.948 0.621 0.281
Sn1 0.220 0.780 0.000
Sn2 0.378 0.622 0.500
Sn3 0.500 0.500 0.000
Sn4 0.622 0.378 0.500
Sn5 0.780 0.220 0.000
Pd1 0.000 0.000 0.500

Diffraction record for Er3In5Ni2. The X-ray diffraction stick pattern is theoretical, not measured: it uses a GGA-PBE-relaxed structure and CuKα.
Kinematic intensities with the Lorentz-polarization factor, no thermal factor.

Most intense lines, 2θ from 15° to 90°, sorted by position:
| 2theta | I/Imax |
| --- | --- |
| 28.65 | 34 |
| 32.66 | 28 |
| 35.11 | 100 |
| 37.12 | 35 |
| 38.53 | 24 |
| 40.39 | 20 |
| 41.52 | 29 |
| 56.90 | 20 |
| 59.31 | 13 |
| 59.46 | 11 |
| 63.35 | 11 |
| 71.61 | 12 |

Cell and atoms:
Unit cell a=9.987 b=9.987 c=4.350 alpha=90.00 beta=90.00 gamma=90.00
Sites, in units of the cell vectors:
Er1 0.000 0.000 0.000
Er2 0.171 0.329 0.000
Er3 0.329 0.829 0.000
Er4 0.500 0.500 0.000
Er5 0.671 0.171 0.000
Er6 0.829 0.671 0.000
In1 0.000 0.500 0.500
In2 0.068 0.786 0.500
In3 0.214 0.068 0.500
In4 0.286 0.568 0.500
In5 0.432 0.286 0.500
In6 0.500 0.000 0.500
In7 0.568 0.714 0.500
In8 0.714 0.432 0.500
In9 0.786 0.932 0.500
In10 0.932 0.214 0.500
Ni1 0.127 0.627 0.000
Ni2 0.373 0.127 0.000
Ni3 0.627 0.873 0.000
Ni4 0.873 0.373 0.000